Diffraction record for CsMnAsO4. The X-ray powder pattern is simulated, not measured: it uses a crystal structure in Alexandria, relaxed with GGA+U and Cu Kα (λ = 1.5418 Å).
Neutral-atom scattering factors, no anomalous dispersion.

Crystal structure
a b c (Å): 5.4751 5.9639 8.3182
angles (deg): 90.00 100.64 90.00
Space group P2_1/m (No. 11)
Asymmetric unit:
Cs: 0.2316 0.2500 0.1283
Mn: 0.1602 0.7500 0.5012
As: 0.3449 0.2500 0.6801
O: 0.1313 0.0273 0.6639
O: 0.4397 0.7500 0.1460
O: 0.4682 0.2500 0.5042

Most intense lines, 2θ from 10° to 90°, sorted by position:
- 22.25°, intensity 95.3
- 24.80°, intensity 100.0
- 26.13°, intensity 77.5
- 26.43°, intensity 91.9
- 29.97°, intensity 74.4
- 39.28°, intensity 48.3